Simulated X-ray powder pattern
Compound: Li4Cr3Fe3Sn2O16
Radiation: Cu Kα X-rays
Structure: a PBE+U-relaxed structure
Peak positions follow from Bragg's law for the DFT cell and can differ from measured ones.

Atomic structure:
Cell lengths 5.9666, 5.9862, 9.7470 Å; angles 90.09, 90.38, 119.89 degrees
Space group P1 (No. 1)
Inequivalent atoms, fractional coordinates:
Li 0.0000 0.0000 0.0000 (multiplicity 1)
Li 0.0022 0.9992 0.4999 (multiplicity 1)
Li 0.3351 0.6626 0.5988 (multiplicity 1)
Li 0.6735 0.3303 0.0973 (multiplicity 1)
Cr 0.6581 0.8228 0.2763 (multiplicity 1)
Cr 0.8259 0.1656 0.7757 (multiplicity 1)
Cr 0.8324 0.6607 0.7789 (multiplicity 1)
Fe 0.1661 0.3363 0.2804 (multiplicity 1)
Fe 0.1722 0.8295 0.2784 (multiplicity 1)
Fe 0.3388 0.1702 0.7810 (multiplicity 1)
Sn 0.3359 0.6692 0.0003 (multiplicity 1)
Sn 0.6676 0.3350 0.5018 (multiplicity 1)
O 0.0402 0.5134 0.1536 (multiplicity 1)
O 0.1590 0.3211 0.8940 (multiplicity 1)
O 0.1651 0.8439 0.8937 (multiplicity 1)
O 0.3225 0.1623 0.3936 (multiplicity 1)
O 0.3536 0.6763 0.3862 (multiplicity 1)
O 0.4897 0.9654 0.1541 (multiplicity 1)
O 0.5001 0.5292 0.1564 (multiplicity 1)
O 0.5157 0.4772 0.6561 (multiplicity 1)
O 0.5289 0.0324 0.6572 (multiplicity 1)
O 0.6813 0.8412 0.8926 (multiplicity 1)
O 0.6825 0.3283 0.8848 (multiplicity 1)
O 0.8343 0.1534 0.3937 (multiplicity 1)
O 0.8410 0.6777 0.3937 (multiplicity 1)
O 0.9671 0.4782 0.6560 (multiplicity 1)
O 0.9878 0.9930 0.1871 (multiplicity 1)
O 0.9922 0.0042 0.6867 (multiplicity 1)

Largest 10 diffraction maxima, low angle first, 15 to 90 degrees two-theta:
- 4.580 Å, 2θ 19.38, I = 1000, (0 1 1)
- 4.558 Å, 2θ 19.48, I = 491, (1 0 1)
- 3.559 Å, 2θ 25.02, I = 257, (1 0 -2)
- 3.539 Å, 2θ 25.16, I = 221, (0 1 2)
- 2.759 Å, 2θ 32.45, I = 318, (1 0 -3)
- 2.745 Å, 2θ 32.62, I = 298, (1 -1 3)
- 2.551 Å, 2θ 35.18, I = 411, (1 -2 2)
- 2.539 Å, 2θ 35.35, I = 285, (2 -1 2)
- 2.501 Å, 2θ 35.90, I = 239, (2 -2 1)
- 1.497 Å, 2θ 62.01, I = 261, (2 -4 0)